[1]
Structure and theoretical X-ray diffraction stick pattern of K4CuI2O20 (a DFT-relaxed cell (GGA-PBE, Alexandria); copper Kα).
Kinematic intensities with the Lorentz-polarization factor, no thermal factor.

Structure:
Cell: 7.761 11.528 11.692 Å, 90.00 115.76 90.00°
Atoms (fractional coordinates):
K (0.040, 0.204, 0.215)
K (0.040, 0.296, 0.715)
K (0.450, 0.545, 0.150)
K (0.450, 0.955, 0.650)
K (0.550, 0.045, 0.350)
K (0.550, 0.455, 0.850)
K (0.960, 0.704, 0.285)
K (0.960, 0.796, 0.785)
Cu (0.500, 0.000, 0.000)
Cu (0.500, 0.500, 0.500)
I (0.469, 0.242, 0.059)
I (0.469, 0.258, 0.559)
I (0.531, 0.742, 0.441)
I (0.531, 0.758, 0.941)
O (0.020, 0.558, 0.947)
O (0.020, 0.942, 0.447)
O (0.053, 0.027, 0.666)
O (0.053, 0.473, 0.166)
O (0.055, 0.670, 0.551)
O (0.055, 0.830, 0.051)
O (0.108, 0.593, 0.641)
O (0.108, 0.907, 0.141)
O (0.186, 0.004, 0.122)
O (0.186, 0.496, 0.622)
O (0.310, 0.682, 0.911)
O (0.310, 0.818, 0.411)
O (0.312, 0.147, 0.452)
O (0.312, 0.353, 0.952)
O (0.359, 0.131, 0.923)
O (0.359, 0.369, 0.423)
O (0.385, 0.599, 0.365)
O (0.385, 0.901, 0.865)
O (0.401, 0.243, 0.688)
O (0.401, 0.257, 0.188)
O (0.599, 0.743, 0.812)
O (0.599, 0.757, 0.312)
O (0.615, 0.099, 0.135)
O (0.615, 0.401, 0.635)
O (0.641, 0.631, 0.577)
O (0.641, 0.869, 0.077)
O (0.688, 0.647, 0.048)
O (0.688, 0.853, 0.548)
O (0.690, 0.182, 0.589)
O (0.690, 0.318, 0.089)
O (0.814, 0.504, 0.378)
O (0.814, 0.996, 0.878)
O (0.892, 0.093, 0.859)
O (0.892, 0.407, 0.359)
O (0.945, 0.170, 0.949)
O (0.945, 0.330, 0.449)
O (0.947, 0.527, 0.834)
O (0.947, 0.973, 0.334)
O (0.980, 0.058, 0.553)
O (0.980, 0.442, 0.053)

Principal peaks in the range 5° ≤ 2θ ≤ 70°, by angle:
2θ (°)	I_rel
12.67	100
16.08	37
16.84	35
17.84	38
18.53	43
22.32	30
24.90	48
25.22	29
25.49	59
31.64	36

=====

[2]
Structure and theoretical X-ray diffraction stick pattern of K3CuI2O8 (a DFT-relaxed cell (GGA-PBE, Alexandria); copper Kα).
Kinematic intensities with the Lorentz-polarization factor, no thermal factor.

Structure:
Cell: 5.994 5.994 7.753 Å, 90.00 90.00 120.00°
Atoms (fractional coordinates):
K (0.000, 0.000, 0.000)
K (0.333, 0.667, 0.658)
K (0.667, 0.333, 0.342)
Cu (0.000, 0.000, 0.500)
I (0.333, 0.667, 0.232)
I (0.667, 0.333, 0.768)
O (0.163, 0.325, 0.331)
O (0.163, 0.837, 0.331)
O (0.325, 0.163, 0.669)
O (0.333, 0.667, 0.990)
O (0.667, 0.333, 0.010)
O (0.675, 0.837, 0.331)
O (0.837, 0.163, 0.669)
O (0.837, 0.675, 0.669)

Principal peaks in the range 5° ≤ 2θ ≤ 70°, by angle:
2θ (°)	I_rel
20.59	87
28.74	63
29.81	100
38.93	24
41.89	38
47.82	19
52.26	23
52.92	18
56.55	16
61.93	17

=====

[3]
Structure and theoretical X-ray diffraction stick pattern of K2CuOsI (a DFT-relaxed cell (GGA-PBE, Alexandria); copper Kα).
Kinematic intensities with the Lorentz-polarization factor, no thermal factor.

Structure:
Cell: 6.686 6.686 5.039 Å, 90.00 90.00 90.00°
Atoms (fractional coordinates):
K (0.000, 0.500, 0.000)
K (0.500, 0.000, 0.000)
Cu (0.000, 0.000, 0.500)
Os (0.500, 0.500, 0.500)
I (0.500, 0.500, 0.000)

Principal peaks in the range 5° ≤ 2θ ≤ 70°, by angle:
2θ (°)	I_rel
13.24	100
18.77	68
25.84	33
26.67	73
29.88	29
38.07	28
45.06	34
53.13	21
56.83	20
62.11	20

=====

[4]
Structure and theoretical X-ray diffraction stick pattern of KPaCuI6 (a DFT-relaxed cell (GGA-PBE, Alexandria); copper Kα).
Kinematic intensities with the Lorentz-polarization factor, no thermal factor.

Structure:
Cell: 7.635 7.635 16.028 Å, 90.00 90.00 120.00°
Atoms (fractional coordinates):
K (0.000, 0.000, 0.000)
K (0.000, 0.000, 0.500)
Pa (0.333, 0.667, 0.250)
Pa (0.667, 0.333, 0.750)
Cu (0.333, 0.667, 0.750)
Cu (0.667, 0.333, 0.250)
I (0.013, 0.368, 0.643)
I (0.013, 0.645, 0.857)
I (0.355, 0.368, 0.857)
I (0.355, 0.987, 0.643)
I (0.368, 0.013, 0.143)
I (0.368, 0.355, 0.357)
I (0.632, 0.645, 0.643)
I (0.632, 0.987, 0.857)
I (0.645, 0.013, 0.357)
I (0.645, 0.632, 0.143)
I (0.987, 0.355, 0.143)
I (0.987, 0.632, 0.357)

Principal peaks in the range 5° ≤ 2θ ≤ 70°, by angle:
2θ (°)	I_rel
11.04	50
13.39	18
17.39	27
25.85	100
32.39	71
40.95	37
41.25	33
42.56	14
49.06	14
53.15	15

=====

[5]
Structure and theoretical X-ray diffraction stick pattern of K2CuPbI5 (a DFT-relaxed cell (GGA-PBE, Alexandria); copper Kα).
Kinematic intensities with the Lorentz-polarization factor, no thermal factor.

Structure:
Cell: 10.704 10.704 15.114 Å, 90.00 90.00 155.07°
Atoms (fractional coordinates):
K (0.114, 0.886, 0.500)
K (0.115, 0.885, 0.151)
K (0.885, 0.115, 0.651)
K (0.886, 0.114, 0.000)
Cu (0.441, 0.559, 0.230)
Cu (0.559, 0.441, 0.730)
Pb (0.195, 0.805, 0.839)
Pb (0.805, 0.195, 0.339)
I (0.039, 0.961, 0.816)
I (0.296, 0.704, 0.490)
I (0.312, 0.688, 0.185)
I (0.348, 0.652, 0.825)
I (0.500, 0.500, 0.077)
I (0.500, 0.500, 0.577)
I (0.652, 0.348, 0.325)
I (0.688, 0.312, 0.685)
I (0.704, 0.296, 0.990)
I (0.961, 0.039, 0.316)

Principal peaks in the range 5° ≤ 2θ ≤ 70°, by angle:
2θ (°)	I_rel
10.29	29
11.71	21
22.95	19
26.25	45
26.52	100
31.18	43
38.98	23
40.16	16
43.29	26
47.60	18

=====

[6]
Structure and theoretical X-ray diffraction stick pattern of KPmCuI5 (a DFT-relaxed cell (GGA-PBE, Alexandria); copper Kα).
Kinematic intensities with the Lorentz-polarization factor, no thermal factor.

Structure:
Cell: 8.340 8.340 11.444 Å, 103.98 103.98 106.06°
Atoms (fractional coordinates):
K (0.135, 0.865, 0.750)
K (0.865, 0.135, 0.250)
Pm (0.500, 0.500, 0.000)
Pm (0.500, 0.500, 0.500)
Cu (0.189, 0.811, 0.250)
Cu (0.811, 0.189, 0.750)
I (0.109, 0.259, 0.935)
I (0.171, 0.579, 0.371)
I (0.259, 0.109, 0.435)
I (0.406, 0.594, 0.750)
I (0.421, 0.829, 0.129)
I (0.579, 0.171, 0.871)
I (0.594, 0.406, 0.250)
I (0.741, 0.891, 0.565)
I (0.829, 0.421, 0.629)
I (0.891, 0.741, 0.065)

Principal peaks in the range 5° ≤ 2θ ≤ 70°, by angle:
2θ (°)	I_rel
11.70	55
17.10	52
21.58	41
22.20	51
24.28	54
25.19	100
27.67	46
28.07	42
33.55	64
40.52	47

=====

[7]
Structure and theoretical X-ray diffraction stick pattern of KPrCuI5 (a DFT-relaxed cell (GGA-PBE, Alexandria); copper Kα).
Kinematic intensities with the Lorentz-polarization factor, no thermal factor.

Structure:
Cell: 8.396 8.396 11.536 Å, 104.05 104.05 106.11°
Atoms (fractional coordinates):
K (0.133, 0.867, 0.750)
K (0.867, 0.133, 0.250)
Pr (0.500, 0.500, 0.000)
Pr (0.500, 0.500, 0.500)
Cu (0.190, 0.810, 0.250)
Cu (0.810, 0.190, 0.750)
I (0.105, 0.258, 0.934)
I (0.169, 0.576, 0.366)
I (0.258, 0.105, 0.434)
I (0.403, 0.597, 0.750)
I (0.424, 0.831, 0.134)
I (0.576, 0.169, 0.866)
I (0.597, 0.403, 0.250)
I (0.742, 0.895, 0.566)
I (0.831, 0.424, 0.634)
I (0.895, 0.742, 0.066)

Principal peaks in the range 5° ≤ 2θ ≤ 70°, by angle:
2θ (°)	I_rel
11.63	49
16.97	50
21.42	43
22.05	53
24.08	55
25.02	100
27.51	47
27.87	43
33.33	66
40.20	43

=====

[8]
Structure and theoretical X-ray diffraction stick pattern of KScCuI6 (a DFT-relaxed cell (GGA-PBE, Alexandria); copper Kα).
Kinematic intensities with the Lorentz-polarization factor, no thermal factor.

Structure:
Cell: 7.283 7.339 7.764 Å, 93.89 94.15 113.08°
Atoms (fractional coordinates):
K (0.000, 0.000, 0.000)
Sc (0.374, 0.662, 0.507)
Cu (0.753, 0.354, 0.453)
I (0.041, 0.612, 0.257)
I (0.063, 0.339, 0.656)
I (0.396, 0.949, 0.769)
I (0.450, 0.385, 0.254)
I (0.647, 0.974, 0.318)
I (0.672, 0.570, 0.709)

Principal peaks in the range 5° ≤ 2θ ≤ 70°, by angle:
2θ (°)	I_rel
11.49	51
23.10	47
23.73	60
25.44	32
26.39	54
26.57	100
27.69	31
27.91	59
34.87	60
35.08	29

=====

[9]
Structure and theoretical X-ray diffraction stick pattern of K2SrCu2I6 (a DFT-relaxed cell (GGA-PBE, Alexandria); copper Kα).
Kinematic intensities with the Lorentz-polarization factor, no thermal factor.

Structure:
Cell: 8.047 8.047 9.241 Å, 111.74 111.74 64.45°
Atoms (fractional coordinates):
K (0.211, 0.211, 0.164)
K (0.789, 0.789, 0.836)
Sr (0.000, 0.000, 0.500)
Cu (0.459, 0.459, 0.731)
Cu (0.541, 0.541, 0.269)
I (0.180, 0.688, 0.193)
I (0.255, 0.255, 0.563)
I (0.312, 0.820, 0.807)
I (0.688, 0.180, 0.193)
I (0.745, 0.745, 0.437)
I (0.820, 0.312, 0.807)

Principal peaks in the range 5° ≤ 2θ ≤ 70°, by angle:
2θ (°)	I_rel
19.89	100
21.45	54
21.95	74
23.33	69
24.91	47
25.35	52
26.26	63
29.97	74
41.38	44
42.12	37

=====

[10]
Structure and theoretical X-ray diffraction stick pattern of KTiCu2I8 (a DFT-relaxed cell (GGA-PBE, Alexandria); copper Kα).
Kinematic intensities with the Lorentz-polarization factor, no thermal factor.

Structure:
Cell: 7.110 7.110 10.103 Å, 92.36 92.36 67.04°
Atoms (fractional coordinates):
K (0.000, 0.000, 0.000)
Ti (0.000, 0.000, 0.500)
Cu (0.359, 0.359, 0.721)
Cu (0.641, 0.641, 0.279)
I (0.233, 0.233, 0.503)
I (0.240, 0.744, 0.304)
I (0.256, 0.760, 0.696)
I (0.293, 0.293, 0.953)
I (0.707, 0.707, 0.047)
I (0.744, 0.240, 0.304)
I (0.760, 0.256, 0.696)
I (0.767, 0.767, 0.497)

Principal peaks in the range 5° ≤ 2θ ≤ 70°, by angle:
2θ (°)	I_rel
8.76	36
15.94	32
22.58	51
23.73	50
27.25	100
28.81	71
30.20	32
42.89	43
46.04	34
52.62	39

=====

[11]
Structure and theoretical X-ray diffraction stick pattern of KTlCuI4 (a DFT-relaxed cell (GGA-PBE, Alexandria); copper Kα).
Kinematic intensities with the Lorentz-polarization factor, no thermal factor.

Structure:
Cell: 8.486 6.957 9.858 Å, 90.00 106.80 90.00°
Atoms (fractional coordinates):
K (0.239, 0.250, 0.438)
K (0.761, 0.750, 0.562)
Tl (0.189, 0.250, 0.918)
Tl (0.811, 0.750, 0.082)
Cu (0.267, 0.750, 0.694)
Cu (0.733, 0.250, 0.306)
I (0.089, 0.750, 0.876)
I (0.109, 0.750, 0.424)
I (0.498, 0.006, 0.763)
I (0.498, 0.494, 0.763)
I (0.502, 0.506, 0.237)
I (0.502, 0.994, 0.237)
I (0.891, 0.250, 0.576)
I (0.911, 0.250, 0.124)

Principal peaks in the range 5° ≤ 2θ ≤ 70°, by angle:
2θ (°)	I_rel
24.42	100
27.63	27
27.90	50
31.97	42
33.93	19
35.54	22
36.46	26
42.24	36
46.54	27
58.83	17

=====

[12]
Structure and theoretical X-ray diffraction stick pattern of La2Cu2I (a DFT-relaxed cell (GGA-PBE, Alexandria); copper Kα).
Kinematic intensities with the Lorentz-polarization factor, no thermal factor.

Structure:
Cell: 4.292 4.292 8.720 Å, 90.00 90.00 120.00°
Atoms (fractional coordinates):
La (0.000, 0.000, 0.209)
La (0.000, 0.000, 0.791)
Cu (0.333, 0.667, 0.000)
Cu (0.667, 0.333, 0.000)
I (0.667, 0.333, 0.500)

Principal peaks in the range 5° ≤ 2θ ≤ 70°, by angle:
2θ (°)	I_rel
10.14	10
23.94	22
26.06	17
31.63	100
39.35	19
41.42	9
42.11	44
53.61	22
58.46	9
60.55	17